1.
# CsV2P5O16
Simulated powder diffractogram, λ = 1.5418 Å (Cu Kα). Input: a crystal structure in Alexandria, relaxed with PBE+U.
Lines closer than 0.1° are merged.

Crystal structure
Unit cell a=7.6828 b=9.5994 c=10.4348 alpha=90.00 beta=111.72 gamma=90.00
Atoms (fractional coordinates):
Cs  0.0000  0.1951  0.0000
Cs  0.0000  0.8049  0.5000
V  0.3846  0.1443  0.7913
V  0.3846  0.8557  0.2913
V  0.9304  0.3677  0.3957
V  0.9304  0.6323  0.8957
P  0.1326  0.4192  0.7331
P  0.1326  0.5808  0.2331
P  0.2838  0.1249  0.4558
P  0.2838  0.8751  0.9558
P  0.5216  0.4600  0.7637
P  0.5216  0.5400  0.2637
P  0.5783  0.2935  0.1306
P  0.5783  0.7065  0.6306
P  0.6163  0.1391  0.3835
P  0.6163  0.8609  0.8835
O  0.0278  0.4733  0.8200
O  0.0278  0.5267  0.3200
O  0.0455  0.4585  0.5816
O  0.0455  0.5415  0.0816
O  0.1565  0.2501  0.4093
O  0.1565  0.7499  0.9093
O  0.1632  0.2620  0.7558
O  0.1632  0.7380  0.2558
O  0.2364  0.0079  0.3491
O  0.2364  0.9921  0.8491
O  0.3067  0.0699  0.5995
O  0.3067  0.9301  0.0995
O  0.3378  0.4974  0.7947
O  0.3378  0.5026  0.2947
O  0.4901  0.2307  0.9909
O  0.4901  0.7693  0.4909
O  0.4922  0.4480  0.1253
O  0.4922  0.5520  0.6253
O  0.4948  0.1805  0.4710
O  0.4948  0.8195  0.9710
O  0.5016  0.2131  0.2356
O  0.5016  0.7869  0.7356
O  0.5210  0.3073  0.7310
O  0.5210  0.6927  0.2310
O  0.6150  0.0169  0.8593
O  0.6150  0.9831  0.3593
O  0.6908  0.4825  0.3778
O  0.6908  0.5175  0.8778
O  0.7899  0.2966  0.1943
O  0.7899  0.7034  0.6943
O  0.8096  0.2000  0.4513
O  0.8096  0.8000  0.9513

Most intense lines, 15 to 90 degrees two-theta, in order of falling intensity:
2θ (°), I/Imax
24.95, 1000
22.31, 782
20.21, 751
29.79, 699
31.16, 679
17.92, 642
27.38, 604
20.53, 462
29.16, 394
25.88, 367
18.30, 340
25.78, 337

=====

2.
# LiPuCr2O6
Simulated powder diffractogram, λ = 1.5418 Å (Cu Kα). Input: a crystal structure in Alexandria, relaxed with PBE+U.
Lines closer than 0.1° are merged.

Crystal structure
Unit cell a=5.1513 b=5.1513 c=5.2494 alpha=90.00 beta=90.00 gamma=90.00
Atoms (fractional coordinates):
Li  0.0000  0.0000  0.0000
Pu  0.5000  0.5000  0.9648
Cr  0.0000  0.5000  0.3429
Cr  0.5000  0.0000  0.3429
O  0.0000  0.0000  0.6210
O  0.2519  0.2519  0.1818
O  0.2519  0.7481  0.1818
O  0.5000  0.5000  0.5998
O  0.7481  0.2519  0.1818
O  0.7481  0.7481  0.1818

Most intense lines, 15 to 90 degrees two-theta, in order of falling intensity:
2θ (°), I/Imax
29.86, 1000
17.21, 979
24.21, 872
42.87, 400
16.89, 371
34.83, 334
59.41, 284
38.49, 282
42.45, 279
39.10, 260
49.59, 236
52.88, 233